(1)
Structure and computed powder diffractogram of LiEr2S3 (a DFT-relaxed cell (PBE, Alexandria); copper Kα).
Peak positions follow from Bragg's law for the DFT cell and can differ from measured ones.

Crystal structure
```
data_LiEr2S3
_space_group_name_H-M_alt 'I m m m'
_space_group_IT_number 71
_space_group_name_Hall '-I 2 2'
_cell_length_a 3.8295
_cell_length_b 5.4334
_cell_length_c 11.5191
_cell_angle_alpha 90.00
_cell_angle_beta 90.00
_cell_angle_gamma 90.00
loop_
_atom_site_label
_atom_site_fract_x
_atom_site_fract_y
_atom_site_fract_z
Li1 0.0000 0.0000 0.0000
Er1 0.0000 0.0000 0.3351
S1 0.0000 0.5000 0.0000
S2 0.0000 0.5000 0.3366
```

Most intense lines, 5° ≤ 2θ ≤ 70°, low angle first:
2theta, d [Å], I_rel, (hkl)
15.4, 5.760, 25, 0 0 2
18.1, 4.914, 40, 0 1 1
24.5, 3.634, 20, 1 0 1
28.5, 3.133, 56, 1 1 0
32.6, 2.750, 18, 1 1 2
33.0, 2.713, 100, 1 0 3
42.7, 2.120, 14, 1 1 4
47.4, 1.919, 59, 1 2 3
56.2, 1.637, 19, 1 3 0
58.9, 1.568, 12, 0 2 6

(2)
Structure and computed powder diffractogram of RbMg5Cd2 (a DFT-relaxed cell (PBE, Alexandria); copper Kα).
Peak positions follow from Bragg's law for the DFT cell and can differ from measured ones.

Crystal structure
```
data_RbMg5Cd2
_space_group_name_H-M_alt 'I m m m'
_space_group_IT_number 71
_space_group_name_Hall '-I 2 2'
_cell_length_a 4.6293
_cell_length_b 8.6064
_cell_length_c 11.4684
_cell_angle_alpha 90.00
_cell_angle_beta 90.00
_cell_angle_gamma 90.00
loop_
_atom_site_label
_atom_site_fract_x
_atom_site_fract_y
_atom_site_fract_z
Rb1 0.0000 0.0000 0.0000
Mg1 0.0000 0.1828 0.3471
Mg2 0.0000 0.5000 0.0000
Cd1 0.0000 0.5000 0.2509
```

Most intense lines, 5° ≤ 2θ ≤ 70°, low angle first:
2theta, d [Å], I_rel, (hkl)
15.5, 5.734, 28, 0 0 2
20.6, 4.303, 50, 0 2 0
26.8, 3.323, 100, 1 1 2
29.4, 3.039, 24, 1 2 1
30.3, 2.948, 22, 1 0 3
37.7, 2.386, 41, 0 2 4
38.9, 2.315, 24, 2 0 0
40.2, 2.244, 46, 1 3 2
52.9, 1.731, 21, 1 1 6
55.3, 1.661, 26, 2 2 4

(3)
Structure and computed powder diffractogram of Er2TaPt9 (a DFT-relaxed cell (PBE, Alexandria); copper Kα).
Peak positions follow from Bragg's law for the DFT cell and can differ from measured ones.

Crystal structure
```
data_Er2TaPt9
_space_group_name_H-M_alt 'P 4/m m m'
_space_group_IT_number 123
_space_group_name_Hall '-P 4 2'
_cell_length_a 4.0707
_cell_length_b 4.0707
_cell_length_c 12.1805
_cell_angle_alpha 90.00
_cell_angle_beta 90.00
_cell_angle_gamma 90.00
loop_
_atom_site_label
_atom_site_fract_x
_atom_site_fract_y
_atom_site_fract_z
Er1 0.0000 0.0000 0.1660
Ta1 0.0000 0.0000 0.5000
Pt1 0.0000 0.5000 0.0000
Pt2 0.0000 0.5000 0.3443
Pt3 0.5000 0.5000 0.1724
Pt4 0.5000 0.5000 0.5000
```

Most intense lines, 5° ≤ 2θ ≤ 70°, low angle first:
2theta, d [Å], I_rel, (hkl)
7.3, 12.181, 1, 0 0 1
38.3, 2.348, 100, 1 1 3
43.3, 2.092, 1, 1 1 4
44.5, 2.035, 34, 2 0 0
44.6, 2.030, 16, 0 0 6
64.8, 1.438, 32, 2 2 0
69.9, 1.346, 1, 1 1 8

(4)
Structure and computed powder diffractogram of Sr2LiCd6Ga (a DFT-relaxed cell (PBE, Alexandria); copper Kα).
Peak positions follow from Bragg's law for the DFT cell and can differ from measured ones.

Crystal structure
```
data_Sr2LiCd6Ga
_space_group_name_H-M_alt 'I m m m'
_space_group_IT_number 71
_space_group_name_Hall '-I 2 2'
_cell_length_a 7.1308
_cell_length_b 7.3902
_cell_length_c 10.3103
_cell_angle_alpha 90.00
_cell_angle_beta 90.00
_cell_angle_gamma 90.00
loop_
_atom_site_label
_atom_site_fract_x
_atom_site_fract_y
_atom_site_fract_z
Sr1 0.0000 0.0000 0.2074
Li1 0.0000 0.5000 0.0000
Cd1 0.0000 0.5000 0.2404
Cd2 0.2173 0.2027 0.5000
Ga1 0.0000 0.5000 0.5000
```

Most intense lines, 5° ≤ 2θ ≤ 70°, low angle first:
2theta, d [Å], I_rel, (hkl)
17.2, 5.144, 18, 0 0 2
28.8, 3.096, 24, 1 0 3
29.1, 3.066, 22, 2 1 1
29.7, 3.003, 95, 0 2 2
30.5, 2.932, 100, 2 0 2
34.8, 2.578, 48, 0 0 4
35.0, 2.566, 92, 2 2 0
37.5, 2.396, 23, 0 3 1
50.2, 1.818, 50, 2 2 4
53.0, 1.728, 23, 3 2 3

Copy entry 3 word for word.
Structure and computed powder diffractogram of Er2TaPt9 (a DFT-relaxed cell (PBE, Alexandria); copper Kα).
Peak positions follow from Bragg's law for the DFT cell and can differ from measured ones.

Crystal structure
```
data_Er2TaPt9
_space_group_name_H-M_alt 'P 4/m m m'
_space_group_IT_number 123
_space_group_name_Hall '-P 4 2'
_cell_length_a 4.0707
_cell_length_b 4.0707
_cell_length_c 12.1805
_cell_angle_alpha 90.00
_cell_angle_beta 90.00
_cell_angle_gamma 90.00
loop_
_atom_site_label
_atom_site_fract_x
_atom_site_fract_y
_atom_site_fract_z
Er1 0.0000 0.0000 0.1660
Ta1 0.0000 0.0000 0.5000
Pt1 0.0000 0.5000 0.0000
Pt2 0.0000 0.5000 0.3443
Pt3 0.5000 0.5000 0.1724
Pt4 0.5000 0.5000 0.5000
```

Most intense lines, 5° ≤ 2θ ≤ 70°, low angle first:
2theta, d [Å], I_rel, (hkl)
7.3, 12.181, 1, 0 0 1
38.3, 2.348, 100, 1 1 3
43.3, 2.092, 1, 1 1 4
44.5, 2.035, 34, 2 0 0
44.6, 2.030, 16, 0 0 6
64.8, 1.438, 32, 2 2 0
69.9, 1.346, 1, 1 1 8